(1)
Diffraction record for K2BaPdCl8. The powder X-ray diffraction pattern is theoretical, not measured: it uses DFT lattice parameters and positions (GGA-PBE) and CuKα.
Peak positions follow from Bragg's law for the DFT cell and can differ from measured ones.

Most intense lines, 2θ = 10–90°, most intense first:
two_theta, I (rel.), hkl
15.07, 100, 1 0 0
34.25, 66, 1 1 2
26.26, 65, 1 1 0
37.61, 61, 0 2 2
26.44, 44, 1 0 2
32.35, 37, 2 0 1

Structural model:
a b c (Å): 6.7870 6.7870 8.2285
angles (deg): 90.00 90.00 120.00
Space group P-3m1 (No. 164)
Symmetry-distinct sites (fractional):
K (0.3333, 0.6667, 0.3512) (multiplicity 2)
Ba (0.0000, 0.0000, 0.0000) (multiplicity 1)
Pd (0.0000, 0.0000, 0.5000) (multiplicity 1)
Cl (0.1603, 0.3205, 0.6752) (multiplicity 6)
Cl (0.3333, 0.6667, 0.9867) (multiplicity 2)

---

(2)
Diffraction record for SmEr3Th. The powder X-ray diffraction pattern is theoretical, not measured: it uses DFT lattice parameters and positions (GGA-PBE) and CuKα.
Peak positions follow from Bragg's law for the DFT cell and can differ from measured ones.

Most intense lines, 2θ = 10–90°, most intense first:
two_theta, I (rel.), hkl
32.11, 100, 3 1 2
32.33, 92, 1 3 2
30.42, 60, 2 4 0
30.06, 54, 4 2 0
58.36, 26, 7 3 2
38.53, 21, 4 4 0

Structural model:
a b c (Å): 13.346 13.090 7.438
angles (deg): 90.00 90.00 90.00
Space group Cmce (No. 64)
Symmetry-distinct sites (fractional):
Sm (0.250, 0.024, 0.250) (multiplicity 8)
Er (0.000, 0.098, 0.141) (multiplicity 8)
Er (0.150, 0.228, 0.879) (multiplicity 16)
Th (0.000, 0.108, 0.587) (multiplicity 8)